This entry pairs a crystal structure of Dy2Tm2Lu3Ni2Te2 with its calculated powder XRD pattern. Radiation: Cu Kα X-rays. Structure: a structure optimized by DFT (GGA-PBE).

Cell and atoms:
Cell lengths 3.8056, 15.3781, 9.5028 Å; angles 90.00, 90.00, 90.00 degrees
Space group Imm2 (No. 44)
One atom of each set of equivalent atoms:
Dy 0.0000 0.1853 0.0000 (multiplicity 4)
Tm 0.0000 0.3662 0.2032 (multiplicity 4)
Lu 0.0000 0.1450 0.3490 (multiplicity 4)
Lu 0.0000 0.5000 0.6236 (multiplicity 2)
Ni 0.0000 0.2642 0.6959 (multiplicity 4)
Te 0.0000 0.0000 0.8557 (multiplicity 2)
Te 0.0000 0.5000 0.9605 (multiplicity 2)

Top 6 peaks for 2θ from 10° to 90°, in order of falling intensity:
- hkl 1 4 1, 2θ 34.48, I 100.0
- hkl 0 3 3, 2θ 33.25, I 78.8
- hkl 0 6 0, 2θ 34.94, I 68.3
- hkl 1 1 2, 2θ 30.66, I 52.6
- hkl 2 3 3, 2θ 59.46, I 36.3
- hkl 2 0 0, 2θ 47.80, I 28.4

***

This entry pairs a crystal structure of Na2LuC2O6F with its calculated powder XRD pattern. Radiation: Cu Kα X-rays. Structure: a structure optimized by DFT (GGA-PBE).

Cell and atoms:
Cell lengths 16.9926, 5.9844, 10.9234 Å; angles 90.00, 93.05, 90.00 degrees
Space group C2/c (No. 15)
One atom of each set of equivalent atoms:
Na 0.1100 0.0920 0.3791 (multiplicity 8)
Na 0.2448 0.0913 0.1404 (multiplicity 8)
Lu 0.0612 0.3437 0.6287 (multiplicity 8)
C 0.0627 0.2051 0.1164 (multiplicity 8)
C 0.2087 0.4193 0.5808 (multiplicity 8)
O 0.0044 0.3208 0.0656 (multiplicity 8)
O 0.0769 0.0059 0.0827 (multiplicity 8)
O 0.1050 0.3050 0.2015 (multiplicity 8)
O 0.1524 0.4224 0.4934 (multiplicity 8)
O 0.1947 0.2999 0.6777 (multiplicity 8)
O 0.2290 0.0339 0.9282 (multiplicity 8)
F 0.0590 0.2539 0.8216 (multiplicity 8)

Top 6 peaks for 2θ from 10° to 90°, in order of falling intensity:
- hkl 2 0 0, 2θ 10.43, I 100.0
- hkl 1 1 1, 2θ 17.82, I 77.4
- hkl 0 0 4, 2θ 32.88, I 52.1
- hkl 1 1 0, 2θ 15.70, I 39.6
- hkl 3 1 1, 2θ 23.42, I 37.5
- hkl 2 0 2, 2θ 19.82, I 37.1

***

This entry pairs a crystal structure of AgB5H5 with its calculated powder XRD pattern. Radiation: Cu Kα X-rays. Structure: a structure optimized by DFT (GGA-PBE).

Cell and atoms:
Cell lengths 6.2896, 6.2896, 10.1107 Å; angles 90.00, 90.00, 90.00 degrees
Space group P4/nnc (No. 126, origin choice 2)
One atom of each set of equivalent atoms:
Ag 0.2500 0.7500 0.0000 (multiplicity 4)
B 0.0610 0.1716 0.1753 (multiplicity 16)
B 0.2500 0.2500 0.0641 (multiplicity 4)
H 0.0875 0.6078 0.1460 (multiplicity 16)
H 0.2500 0.2500 0.5536 (multiplicity 4)

Top 6 peaks for 2θ from 10° to 90°, in order of falling intensity:
- hkl 1 1 2, 2θ 26.70, I 100.0
- hkl 1 1 0, 2θ 19.96, I 66.1
- hkl 2 0 2, 2θ 33.56, I 65.3
- hkl 0 0 2, 2θ 17.54, I 49.4
- hkl 2 0 0, 2θ 28.38, I 47.9
- hkl 1 1 4, 2θ 41.07, I 32.4